Entry 1:
Simulated X-ray powder pattern of Mg2P for Cu Kα (weighted mean of Kα1 and Kα2), from a structure optimized by DFT (GGA-PBE).
Peak positions follow from Bragg's law for the DFT cell and can differ from measured ones.

Crystal structure
abc: 12.729 3.744 5.466
angles: 90.00 115.18 90.00
Fractional positions:
Mg (0.002, 0.000, 0.244)
Mg (0.204, 0.500, 0.705)
Mg (0.296, 0.000, 0.295)
Mg (0.498, 0.500, 0.756)
Mg (0.502, 0.500, 0.244)
Mg (0.704, 0.000, 0.705)
Mg (0.796, 0.500, 0.295)
Mg (0.998, 0.000, 0.756)
P (0.143, 0.500, 0.143)
P (0.357, 0.000, 0.857)
P (0.643, 0.000, 0.143)
P (0.857, 0.500, 0.857)

Most intense lines, 10 to 90 degrees two-theta, low angle first:
d [Å]	Position (°2θ)	Rel. int.
4.938	17.96	19
2.681	33.43	100
2.473	36.32	22
2.465	36.45	21
2.168	41.66	54
2.104	42.99	14
1.872	48.63	21
1.492	62.23	17

Entry 2:
Simulated X-ray powder pattern of MgP for Cu Kα (weighted mean of Kα1 and Kα2), from a structure optimized by DFT (GGA-PBE).
Peak positions follow from Bragg's law for the DFT cell and can differ from measured ones.

Crystal structure
abc: 4.910 4.910 4.910
angles: 86.34 86.34 86.34
Fractional positions:
Mg (0.000, 0.377, 0.623)
Mg (0.377, 0.623, 0.000)
Mg (0.623, 0.000, 0.377)
P (0.123, 0.123, 0.123)
P (0.500, 0.500, 0.500)
P (0.877, 0.877, 0.877)

Most intense lines, 10 to 90 degrees two-theta, low angle first:
d [Å]	Position (°2θ)	Rel. int.
3.359	26.53	75
2.769	32.33	10
2.446	36.75	15
2.242	40.22	100
1.940	46.84	47
1.725	53.09	10
1.467	63.41	18
1.170	82.44	16

Entry 3:
Simulated X-ray powder pattern of Mg2P for Cu Kα (weighted mean of Kα1 and Kα2), from a structure optimized by DFT (GGA-PBE).
Peak positions follow from Bragg's law for the DFT cell and can differ from measured ones.

Crystal structure
abc: 5.667 5.667 5.667
angles: 90.00 90.00 90.00
Fractional positions:
Mg (0.000, 0.000, 0.000)
Mg (0.000, 0.500, 0.500)
Mg (0.500, 0.000, 0.500)
Mg (0.500, 0.500, 0.000)
P (0.250, 0.250, 0.250)
P (0.750, 0.750, 0.750)

Most intense lines, 10 to 90 degrees two-theta, low angle first:
d [Å]	Position (°2θ)	Rel. int.
4.007	22.19	99
3.272	27.26	100
2.313	38.93	39
2.003	45.26	90
1.792	50.96	17
1.709	53.64	42
1.514	61.20	19
1.157	83.59	28

Entry 4:
Simulated X-ray powder pattern of MgPPd5 for Cu Kα (weighted mean of Kα1 and Kα2), from a structure optimized by DFT (GGA-PBE).
Peak positions follow from Bragg's law for the DFT cell and can differ from measured ones.

Crystal structure
abc: 3.947 3.947 6.991
angles: 90.00 90.00 90.00
Fractional positions:
Mg (0.000, 0.000, 0.000)
P (0.500, 0.500, 0.500)
Pd (0.000, 0.500, 0.297)
Pd (0.000, 0.500, 0.703)
Pd (0.500, 0.000, 0.297)
Pd (0.500, 0.000, 0.703)
Pd (0.500, 0.500, 0.000)

Most intense lines, 10 to 90 degrees two-theta, low angle first:
d [Å]	Position (°2θ)	Rel. int.
2.791	32.07	27
2.592	34.61	31
2.330	38.64	21
2.181	41.40	100
1.973	45.99	48
1.506	61.58	21
1.250	76.15	17
1.175	81.97	26

Entry 5:
Simulated X-ray powder pattern of MgPPt5 for Cu Kα (weighted mean of Kα1 and Kα2), from a structure optimized by DFT (GGA-PBE).
Peak positions follow from Bragg's law for the DFT cell and can differ from measured ones.

Crystal structure
abc: 3.946 3.946 7.018
angles: 90.00 90.00 90.00
Fractional positions:
Mg (0.000, 0.000, 0.000)
P (0.500, 0.500, 0.500)
Pt (0.000, 0.500, 0.292)
Pt (0.000, 0.500, 0.708)
Pt (0.500, 0.000, 0.292)
Pt (0.500, 0.000, 0.708)
Pt (0.500, 0.500, 0.000)

Most intense lines, 10 to 90 degrees two-theta, low angle first:
d [Å]	Position (°2θ)	Rel. int.
3.509	25.38	18
2.791	32.07	32
2.593	34.59	30
2.339	38.48	20
2.184	41.34	100
1.973	45.99	46
1.508	61.48	21
1.176	81.94	28

Entry 6:
Simulated X-ray powder pattern of MgP4Rh6 for Cu Kα (weighted mean of Kα1 and Kα2), from a structure optimized by DFT (GGA-PBE).
Peak positions follow from Bragg's law for the DFT cell and can differ from measured ones.

Crystal structure
abc: 7.112 7.112 3.540
angles: 90.00 90.00 120.00
Fractional positions:
Mg (0.000, 0.000, 0.000)
P (0.333, 0.667, 0.000)
P (0.376, 0.188, 0.500)
P (0.812, 0.188, 0.500)
P (0.812, 0.624, 0.500)
Rh (0.191, 0.383, 0.500)
Rh (0.191, 0.809, 0.500)
Rh (0.534, 0.069, 0.000)
Rh (0.534, 0.466, 0.000)
Rh (0.617, 0.809, 0.500)
Rh (0.931, 0.466, 0.000)

Most intense lines, 10 to 90 degrees two-theta, low angle first:
d [Å]	Position (°2θ)	Rel. int.
6.159	14.38	22
3.072	29.06	35
2.324	38.74	100
2.053	44.11	22
1.945	46.70	37
1.778	51.40	22
1.770	51.63	14
1.312	71.95	14

Entry 7:
Simulated X-ray powder pattern of MgSiP2 for Cu Kα (weighted mean of Kα1 and Kα2), from a structure optimized by DFT (GGA-PBE).
Peak positions follow from Bragg's law for the DFT cell and can differ from measured ones.

Crystal structure
abc: 5.750 5.750 10.248
angles: 90.00 90.00 90.00
Fractional positions:
Mg (0.000, 0.000, 0.000)
Mg (0.000, 0.500, 0.250)
Mg (0.500, 0.000, 0.750)
Mg (0.500, 0.500, 0.500)
Si (0.000, 0.000, 0.500)
Si (0.000, 0.500, 0.750)
Si (0.500, 0.000, 0.250)
Si (0.500, 0.500, 0.000)
P (0.207, 0.250, 0.625)
P (0.250, 0.707, 0.875)
P (0.250, 0.793, 0.375)
P (0.293, 0.250, 0.125)
P (0.707, 0.750, 0.125)
P (0.750, 0.207, 0.375)
P (0.750, 0.293, 0.875)
P (0.793, 0.750, 0.625)

Most intense lines, 10 to 90 degrees two-theta, low angle first:
d [Å]	Position (°2θ)	Rel. int.
5.015	17.69	6
3.185	28.01	100
2.033	44.57	23
1.913	47.54	40
1.714	53.47	25
1.575	58.62	13
1.245	76.52	9
1.149	84.27	11

Entry 8:
Simulated X-ray powder pattern of MgSiP2 for Cu Kα (weighted mean of Kα1 and Kα2), from a structure optimized by DFT (GGA-PBE).
Peak positions follow from Bragg's law for the DFT cell and can differ from measured ones.

Crystal structure
abc: 6.361 6.361 6.361
angles: 90.00 90.00 90.00
Fractional positions:
Mg (0.000, 0.000, 0.000)
Mg (0.000, 0.500, 0.500)
Mg (0.500, 0.000, 0.500)
Mg (0.500, 0.500, 0.000)
Si (0.000, 0.000, 0.500)
Si (0.000, 0.500, 0.000)
Si (0.500, 0.000, 0.000)
Si (0.500, 0.500, 0.500)
P (0.250, 0.250, 0.250)
P (0.250, 0.250, 0.750)
P (0.250, 0.750, 0.250)
P (0.250, 0.750, 0.750)
P (0.750, 0.250, 0.250)
P (0.750, 0.250, 0.750)
P (0.750, 0.750, 0.250)
P (0.750, 0.750, 0.750)

Most intense lines, 10 to 90 degrees two-theta, low angle first:
d [Å]	Position (°2θ)	Rel. int.
3.180	28.06	1
2.249	40.09	100
1.590	58.00	16
1.298	72.84	32
1.124	86.56	11